(1)
Structure and calculated X-ray diffraction stick pattern of SrAl9Co2 (a crystal structure in the Materials Project, relaxed with GGA-PBE; Cu Kα, 1.54184 Å).
Kinematic intensities with the Lorentz-polarization factor, no thermal factor.

Most intense lines, 2θ = 15–90°, by intensity:
| 2theta | d [Å] | I_rel | (hkl) |
| --- | --- | --- | --- |
| 32.18 | 2.781 | 100 | 1 1 1 |
| 22.49 | 3.954 | 93 | 1 1 0 |
| 46.03 | 1.972 | 63 | 3 0 1 |
| 34.82 | 2.577 | 59 | 2 0 1 |
| 45.90 | 1.977 | 48 | 2 2 0 |
| 51.81 | 1.765 | 43 | 2 2 1 |
| 46.41 | 1.956 | 30 | 0 0 2 |
| 67.33 | 1.391 | 29 | 2 2 2 |
| 41.84 | 2.159 | 21 | 2 1 1 |
| 89.41 | 1.096 | 20 | 6 0 1 |

Crystal structure
Lattice parameters (Å, degrees): 7.9081 7.9081 3.9129 90.00 90.00 120.00
Space group P6/mmm (No. 191)
One atom of each set of equivalent atoms:
1 Sr 0.0000 0.0000 0.0000 (multiplicity 1)
2 Al 0.0000 0.5000 0.0000 (multiplicity 3)
3 Al 0.2142 0.4284 0.5000 (multiplicity 6)
4 Co 0.3333 0.6667 0.0000 (multiplicity 2)


(2)
Structure and calculated X-ray diffraction stick pattern of Al2O3 (a crystal structure in the Materials Project, relaxed with GGA-PBE; Cu Kα, 1.54184 Å).
Kinematic intensities with the Lorentz-polarization factor, no thermal factor.

Most intense lines, 2θ = 15–90°, by intensity:
| 2theta | d [Å] | I_rel | (hkl) |
| --- | --- | --- | --- |
| 19.01 | 4.669 | 100 | 1 1 0 |
| 30.27 | 2.952 | 66 | 1 1 1 |
| 22.15 | 4.013 | 48 | 2 0 0 |
| 45.42 | 1.997 | 38 | 4 0 -2 |
| 54.90 | 1.672 | 31 | 1 3 1 |
| 31.16 | 2.870 | 23 | 0 2 0 |
| 23.40 | 3.801 | 20 | 1 1 -1 |
| 47.71 | 1.906 | 16 | 2 2 1 |
| 53.21 | 1.721 | 14 | 2 0 2 |
| 74.96 | 1.267 | 13 | 3 3 -3 |

Crystal structure
Lattice parameters (Å, degrees): 8.8670 5.7398 5.1464 90.00 115.17 90.00
Space group C2/c (No. 15)
One atom of each set of equivalent atoms:
1 Al 0.1654 0.0926 0.0810 (multiplicity 8)
2 O 0.0000 0.0426 0.2500 (multiplicity 4)
3 O 0.2133 0.3940 0.1450 (multiplicity 8)


(3)
Structure and calculated X-ray diffraction stick pattern of ZnH2O2 (a crystal structure in the Materials Project, relaxed with GGA-PBE; Cu Kα, 1.54184 Å).
Kinematic intensities with the Lorentz-polarization factor, no thermal factor.

Most intense lines, 2θ = 15–90°, by intensity:
| 2theta | d [Å] | I_rel | (hkl) |
| --- | --- | --- | --- |
| 19.98 | 4.444 | 100 | 0 1 1 |
| 32.92 | 2.721 | 82 | 1 1 2 |
| 20.87 | 4.255 | 81 | 1 0 1 |
| 26.93 | 3.311 | 28 | 1 1 1 |
| 28.09 | 3.177 | 26 | 1 0 2 |
| 40.24 | 2.241 | 24 | 1 2 1 |
| 41.69 | 2.167 | 21 | 2 1 1 |
| 38.70 | 2.327 | 18 | 1 2 0 |
| 36.80 | 2.443 | 17 | 0 1 3 |
| 51.81 | 1.765 | 14 | 2 2 1 |

Crystal structure
Lattice parameters (Å, degrees): 4.9629 5.2690 8.2700 90.00 90.00 90.00
Space group P2_12_12_1 (No. 19)
One atom of each set of equivalent atoms:
1 Zn 0.0524 0.1903 0.1306 (multiplicity 4)
2 H 0.1319 0.0907 0.7905 (multiplicity 4)
3 H 0.1918 0.4031 0.5859 (multiplicity 4)
4 O 0.1408 0.5828 0.5713 (multiplicity 4)
5 O 0.2008 0.8788 0.2264 (multiplicity 4)


(4)
Structure and calculated X-ray diffraction stick pattern of Pm2ZnGe (a crystal structure in the Materials Project, relaxed with GGA-PBE; Cu Kα, 1.54184 Å).
Kinematic intensities with the Lorentz-polarization factor, no thermal factor.

Most intense lines, 2θ = 15–90°, by intensity:
| 2theta | d [Å] | I_rel | (hkl) |
| --- | --- | --- | --- |
| 34.79 | 2.579 | 100 | 2 2 0 |
| 62.36 | 1.489 | 36 | 4 2 2 |
| 50.02 | 1.824 | 18 | 4 0 0 |
| 83.89 | 1.153 | 16 | 6 2 0 |
| 24.41 | 3.647 | 14 | 2 0 0 |
| 73.43 | 1.289 | 11 | 4 4 0 |
| 56.41 | 1.631 | 6 | 4 2 0 |
| 42.95 | 2.106 | 4 | 2 2 2 |
| 78.71 | 1.216 | 3 | 6 0 0 |
| 89.02 | 1.100 | 2 | 6 2 2 |

Crystal structure
Lattice parameters (Å, degrees): 7.2944 7.2944 7.2944 90.00 90.00 90.00
Space group Fm-3m (No. 225)
One atom of each set of equivalent atoms:
1 Pm 0.2500 0.2500 0.2500 (multiplicity 8)
2 Zn 0.0000 0.0000 0.0000 (multiplicity 4)
3 Ge 0.0000 0.0000 0.5000 (multiplicity 4)


(5)
Structure and calculated X-ray diffraction stick pattern of LiTi2O4 (a crystal structure in the Materials Project, relaxed with GGA-PBE; Cu Kα, 1.54184 Å).
Kinematic intensities with the Lorentz-polarization factor, no thermal factor.

Most intense lines, 2θ = 15–90°, by intensity:
| 2theta | d [Å] | I_rel | (hkl) |
| --- | --- | --- | --- |
| 35.68 | 2.516 | 100 | 2 1 1 |
| 35.26 | 2.545 | 73 | 0 1 3 |
| 62.48 | 1.487 | 60 | 2 2 4 |
| 30.06 | 2.973 | 55 | 1 1 2 |
| 29.75 | 3.003 | 52 | 0 2 0 |
| 18.43 | 4.815 | 41 | 1 0 1 |
| 56.73 | 1.623 | 39 | 0 1 5 |
| 21.10 | 4.211 | 24 | 0 0 2 |
| 43.10 | 2.099 | 20 | 2 2 0 |
| 18.14 | 4.890 | 18 | 0 1 1 |

Crystal structure
Lattice parameters (Å, degrees): 5.8688 6.0068 8.4223 90.00 90.00 90.00
Space group Imma (No. 74)
One atom of each set of equivalent atoms:
1 Li 0.0000 0.0000 0.0000 (multiplicity 4)
2 Ti 0.0000 0.2500 0.3814 (multiplicity 4)
3 Ti 0.2500 0.2500 0.7500 (multiplicity 4)
4 O 0.0000 0.0067 0.7487 (multiplicity 8)
5 O 0.2471 0.2500 0.5139 (multiplicity 8)


(6)
Structure and calculated X-ray diffraction stick pattern of CsNa7Ta8O24 (a crystal structure in the Materials Project, relaxed with GGA-PBE; Cu Kα, 1.54184 Å).
Kinematic intensities with the Lorentz-polarization factor, no thermal factor.

Most intense lines, 2θ = 15–90°, by intensity:
| 2theta | d [Å] | I_rel | (hkl) |
| --- | --- | --- | --- |
| 31.62 | 2.830 | 100 | 2 2 0 |
| 22.21 | 4.002 | 76 | 2 0 0 |
| 56.31 | 1.634 | 40 | 4 2 2 |
| 51.03 | 1.790 | 33 | 4 2 0 |
| 45.32 | 2.001 | 32 | 4 0 0 |
| 66.03 | 1.415 | 19 | 4 4 0 |
| 75.06 | 1.265 | 17 | 6 2 0 |
| 70.61 | 1.334 | 15 | 4 4 2 |
| 38.98 | 2.310 | 8 | 2 2 2 |
| 87.99 | 1.110 | 7 | 6 4 0 |

Crystal structure
Lattice parameters (Å, degrees): 8.0034 8.0034 8.0034 90.00 90.00 90.00
Space group Pm-3m (No. 221)
One atom of each set of equivalent atoms:
1 Cs 0.0000 0.0000 0.0000 (multiplicity 1)
2 Na 0.0000 0.0000 0.5000 (multiplicity 3)
3 Na 0.0000 0.5000 0.5000 (multiplicity 3)
4 Na 0.5000 0.5000 0.5000 (multiplicity 1)
5 Ta 0.2519 0.2519 0.2519 (multiplicity 8)
6 O 0.0000 0.2570 0.2570 (multiplicity 12)
7 O 0.2520 0.2520 0.5000 (multiplicity 12)


(7)
Structure and calculated X-ray diffraction stick pattern of DyRu3C (a crystal structure in the Materials Project, relaxed with GGA-PBE; Cu Kα, 1.54184 Å).
Kinematic intensities with the Lorentz-polarization factor, no thermal factor.

Most intense lines, 2θ = 15–90°, by intensity:
| 2theta | d [Å] | I_rel | (hkl) |
| --- | --- | --- | --- |
| 37.43 | 2.402 | 100 | 1 1 1 |
| 43.50 | 2.081 | 53 | 2 0 0 |
| 75.82 | 1.255 | 38 | 3 1 1 |
| 63.20 | 1.471 | 34 | 2 2 0 |
| 79.85 | 1.201 | 12 | 2 2 2 |
| 30.38 | 2.942 | 6 | 1 1 0 |
| 21.35 | 4.161 | 3 | 1 0 0 |
| 53.98 | 1.699 | 2 | 2 1 1 |
| 48.95 | 1.861 | 2 | 2 1 0 |
| 87.77 | 1.112 | 1 | 3 2 1 |

Crystal structure
Lattice parameters (Å, degrees): 4.1612 4.1612 4.1612 90.00 90.00 90.00
Space group Pm-3m (No. 221)
One atom of each set of equivalent atoms:
1 Dy 0.0000 0.0000 0.0000 (multiplicity 1)
2 Ru 0.0000 0.5000 0.5000 (multiplicity 3)
3 C 0.5000 0.5000 0.5000 (multiplicity 1)